# ZnGe2Te2F2
Simulated PXRD pattern, Cu Kα X-rays. Input: a GGA-PBE-relaxed structure.
Neutral-atom scattering factors, no anomalous dispersion.

Structural model:
```
ZnGe2Te2F2
1.0
3.9174 0.0000 0.0000
0.0000 3.9174 0.0000
0.0000 0.0000 9.2628
Zn Ge Te F
1 2 2 2
Direct
0.0000 0.0000 0.0000
0.0000 0.5000 0.6479
0.5000 0.0000 0.3521
0.0000 0.5000 0.1928
0.5000 0.0000 0.8072
0.0000 0.0000 0.5000
0.5000 0.5000 0.5000
```

Most intense lines, 5 to 70 degrees two-theta, sorted by position:
- 24.7°, I = 28, (1 0 1)
- 29.9°, I = 100, (1 0 2)
- 32.3°, I = 33, (1 1 0)
- 37.1°, I = 19, (1 0 3)
- 37.8°, I = 61, (1 1 2)
- 45.5°, I = 35, (1 0 4)
- 46.4°, I = 38, (2 0 0)
- 56.1°, I = 33, (2 1 2)
- 67.0°, I = 22, (2 1 4)
- 67.6°, I = 12, (2 2 0)